# V2CdRuO8
Simulated X-ray diffraction stick pattern, λ = 1.5418 Å (Cu Kα). Input: a cell relaxed with GGA+U.
Intensities are scaled so that the largest is 100.

Cell and atoms:
a b c (Å): 5.6463 5.6463 6.1935
angles (deg): 90.00 90.00 120.00
Space group P-3m1 (No. 164)
Inequivalent atoms, fractional coordinates:
V  0.3333  0.6667  0.2182 x2
Cd  0.0000  0.0000  0.0000 x1
Ru  0.0000  0.0000  0.5000 x1
O  0.1576  0.3151  0.2989 x6
O  0.3333  0.6667  0.9529 x2

Top 8 peaks for 10° ≤ 2θ ≤ 80°, by angle:
- 4.890 Å, intensity 100, (1 0 0)
- 3.838 Å, intensity 42, (1 0 1)
- 2.823 Å, intensity 85, (1 1 0)
- 2.616 Å, intensity 72, (0 1 2)
- 2.086 Å, intensity 22, (1 1 2)
- 1.919 Å, intensity 46, (2 0 2)
- 1.587 Å, intensity 35, (1 2 2)
- 1.357 Å, intensity 18, (1 1 4)